Entry 1:
Starting from the PBE geometry in Alexandria, the powder X-ray diffraction pattern of Zn2InC was simulated for Cu Kα X-rays.

The 6 most intense peaks (2θ = 5–70°), by intensity:
33.60 deg, rel. 100; 28.63 deg, rel. 59; 33.79 deg, rel. 49; 35.21 deg, rel. 42; 59.28 deg, rel. 31; 28.52 deg, rel. 30

Cell and atoms:
```
data_Zn2InC
_symmetry_space_group_name_H-M 'I 41/a m d'
_symmetry_Int_Tables_number 141
_cell_length_a 6.2591
_cell_length_b 6.2591
_cell_length_c 8.7849
_cell_angle_alpha 90.00
_cell_angle_beta 90.00
_cell_angle_gamma 90.00
loop_
_symmetry_equiv_pos_as_xyz
'x,y,z'
'-x,-y,-z'
'-y+1/4,x+3/4,z+1/4'
'y+1/4,-x+3/4,-z+1/4'
'-x+1/2,-y,z+1/2'
'x+1/2,y,-z+1/2'
'y+1/4,-x+1/4,z+3/4'
'-y+1/4,x+1/4,-z+3/4'
'x,-y,-z'
'-x,y,z'
'-y+1/4,-x+1/4,-z+3/4'
'y+1/4,x+1/4,z+3/4'
'-x+1/2,y,-z+1/2'
'x+1/2,-y,z+1/2'
'y+1/4,x+3/4,-z+1/4'
'-y+1/4,-x+3/4,z+1/4'
'x+1/2,y+1/2,z+1/2'
'-x+1/2,-y+1/2,-z+1/2'
'-y+3/4,x+1/4,z+3/4'
'y+3/4,-x+1/4,-z+3/4'
'-x,-y+1/2,z'
'x,y+1/2,-z'
'y+3/4,-x+3/4,z+1/4'
'-y+3/4,x+3/4,-z+1/4'
'x+1/2,-y+1/2,-z+1/2'
'-x+1/2,y+1/2,z+1/2'
'-y+3/4,-x+3/4,-z+1/4'
'y+3/4,x+3/4,z+1/4'
'-x,y+1/2,-z'
'x,-y+1/2,z'
'y+3/4,x+1/4,-z+3/4'
'-y+3/4,-x+1/4,z+3/4'
loop_
_atom_site_label
_atom_site_type_symbol
_atom_site_fract_x
_atom_site_fract_y
_atom_site_fract_z
Zn1 Zn 0.0000 0.0000 0.0000
In1 In 0.0000 0.2500 0.3750
C1 C 0.0000 0.2500 0.8750
```

Entry 2:
Starting from the PBE geometry in Alexandria, the powder X-ray diffraction pattern of Ag3RhCl8 was simulated for Cu Kα X-rays.

The 6 most intense peaks (2θ = 5–70°), by intensity:
14.78 deg, rel. 100; 34.62 deg, rel. 86; 18.79 deg, rel. 82; 47.27 deg, rel. 55; 31.17 deg, rel. 50; 27.62 deg, rel. 37

Cell and atoms:
```
data_Ag3RhCl8
_symmetry_space_group_name_H-M 'C 2 2 2'
_symmetry_Int_Tables_number 21
_cell_length_a 7.0277
_cell_length_b 11.4774
_cell_length_c 7.6694
_cell_angle_alpha 90.00
_cell_angle_beta 90.00
_cell_angle_gamma 90.00
loop_
_symmetry_equiv_pos_as_xyz
'x,y,z'
'-x,-y,z'
'x,-y,-z'
'-x,y,-z'
'x+1/2,y+1/2,z'
'-x+1/2,-y+1/2,z'
'x+1/2,-y+1/2,-z'
'-x+1/2,y+1/2,-z'
loop_
_atom_site_label
_atom_site_type_symbol
_atom_site_fract_x
_atom_site_fract_y
_atom_site_fract_z
Ag1 Ag 0.0000 0.0000 0.0000
Ag2 Ag 0.2500 0.2500 0.7526
Rh1 Rh 0.0000 0.0000 0.5000
Cl1 Cl 0.0000 0.2050 0.5000
Cl2 Cl 0.0000 0.2145 0.0000
Cl3 Cl 0.2377 0.0030 0.7152
```

Entry 3:
Starting from the PBE geometry in Alexandria, the powder X-ray diffraction pattern of FeAsSe was simulated for Cu Kα X-rays.

The 6 most intense peaks (2θ = 5–70°), by intensity:
35.47 deg, rel. 100; 36.38 deg, rel. 55; 36.07 deg, rel. 52; 54.74 deg, rel. 44; 48.57 deg, rel. 36; 32.90 deg, rel. 33

Cell and atoms:
```
data_FeAsSe
_symmetry_space_group_name_H-M 'P 1 21 1'
_symmetry_Int_Tables_number 4
_cell_length_a 5.9541
_cell_length_b 5.8630
_cell_length_c 6.0159
_cell_angle_alpha 90.00
_cell_angle_beta 113.87
_cell_angle_gamma 90.00
loop_
_symmetry_equiv_pos_as_xyz
'x,y,z'
'-x,y+1/2,-z'
loop_
_atom_site_label
_atom_site_type_symbol
_atom_site_fract_x
_atom_site_fract_y
_atom_site_fract_z
Fe1 Fe 0.2232 0.0000 0.4613
Fe2 Fe 0.2279 0.4992 0.9591
As1 As 0.1506 0.1448 0.0799
As2 As 0.3535 0.6392 0.3740
Se1 Se 0.1572 0.3677 0.5744
Se2 Se 0.3504 0.8722 0.8786
```

Entry 4:
Starting from the PBE geometry in Alexandria, the powder X-ray diffraction pattern of Ce2Cl5 was simulated for Cu Kα X-rays.

The 6 most intense peaks (2θ = 5–70°), by intensity:
19.47 deg, rel. 100; 24.23 deg, rel. 46; 37.71 deg, rel. 44; 36.16 deg, rel. 26; 36.80 deg, rel. 25; 24.67 deg, rel. 23

Cell and atoms:
```
data_Ce2Cl5
_symmetry_space_group_name_H-M 'C 1 2/c 1'
_symmetry_Int_Tables_number 15
_cell_length_a 15.2522
_cell_length_b 6.3989
_cell_length_c 7.7194
_cell_angle_alpha 90.00
_cell_angle_beta 97.49
_cell_angle_gamma 90.00
loop_
_symmetry_equiv_pos_as_xyz
'x,y,z'
'-x,-y,-z'
'-x,y,-z+1/2'
'x,-y,z+1/2'
'x+1/2,y+1/2,z'
'-x+1/2,-y+1/2,-z'
'-x+1/2,y+1/2,-z+1/2'
'x+1/2,-y+1/2,z+1/2'
loop_
_atom_site_label
_atom_site_type_symbol
_atom_site_fract_x
_atom_site_fract_y
_atom_site_fract_z
Ce1 Ce 0.1079 0.2137 0.0853
Cl1 Cl 0.0000 0.0931 0.7500
Cl2 Cl 0.0846 0.3722 0.4258
Cl3 Cl 0.2204 0.0778 0.8284
```

Entry 5:
Starting from the PBE geometry in Alexandria, the powder X-ray diffraction pattern of Ca2MgTe was simulated for Cu Kα X-rays.

The 6 most intense peaks (2θ = 5–70°), by intensity:
31.54 deg, rel. 100; 20.85 deg, rel. 34; 30.08 deg, rel. 28; 39.48 deg, rel. 27; 14.91 deg, rel. 26; 50.42 deg, rel. 25

Cell and atoms:
```
data_Ca2MgTe
_symmetry_space_group_name_H-M 'I -4 m 2'
_symmetry_Int_Tables_number 119
_symmetry_space_group_name_Hall 'I -4 -2'
_cell_length_a 4.5650
_cell_length_b 4.5650
_cell_length_c 11.8834
_cell_angle_alpha 90.00
_cell_angle_beta 90.00
_cell_angle_gamma 90.00
loop_
_atom_site_label
_atom_site_type_symbol
_atom_site_fract_x
_atom_site_fract_y
_atom_site_fract_z
Ca1 Ca 0.0000 0.0000 0.0000
Ca2 Ca 0.0000 0.5000 0.2500
Mg1 Mg 0.0000 0.5000 0.7500
Te1 Te 0.0000 0.0000 0.5000
```

Entry 6:
Starting from the PBE geometry in Alexandria, the powder X-ray diffraction pattern of SmUTeN2 was simulated for Cu Kα X-rays.

The 6 most intense peaks (2θ = 5–70°), by intensity:
30.90 deg, rel. 100; 32.14 deg, rel. 40; 56.52 deg, rel. 37; 54.15 deg, rel. 22; 46.09 deg, rel. 18; 64.38 deg, rel. 12

Cell and atoms:
```
data_SmUTeN2
_symmetry_space_group_name_H-M 'I 4 m m'
_symmetry_Int_Tables_number 107
_symmetry_space_group_name_Hall 'I 4 -2'
_cell_length_a 3.9385
_cell_length_b 3.9385
_cell_length_c 12.8012
_cell_angle_alpha 90.00
_cell_angle_beta 90.00
_cell_angle_gamma 90.00
loop_
_atom_site_label
_atom_site_type_symbol
_atom_site_fract_x
_atom_site_fract_y
_atom_site_fract_z
Sm1 Sm 0.0000 0.0000 0.0000
U1 U 0.0000 0.0000 0.3246
Te1 Te 0.0000 0.0000 0.6640
N1 N 0.0000 0.5000 0.3981
```

Entry 7:
Starting from the PBE geometry in Alexandria, the powder X-ray diffraction pattern of La2Si2BIr2 was simulated for Cu Kα X-rays.

The 6 most intense peaks (2θ = 5–70°), by intensity:
31.90 deg, rel. 100; 33.93 deg, rel. 84; 32.68 deg, rel. 39; 42.91 deg, rel. 34; 15.65 deg, rel. 33; 24.37 deg, rel. 33

Cell and atoms:
```
data_La2Si2BIr2
_symmetry_space_group_name_H-M 'C 1 2/m 1'
_symmetry_Int_Tables_number 12
_cell_length_a 11.4047
_cell_length_b 4.2144
_cell_length_c 7.3135
_cell_angle_alpha 90.00
_cell_angle_beta 129.28
_cell_angle_gamma 90.00
loop_
_symmetry_equiv_pos_as_xyz
'x,y,z'
'-x,-y,-z'
'-x,y,-z'
'x,-y,z'
'x+1/2,y+1/2,z'
'-x+1/2,-y+1/2,-z'
'-x+1/2,y+1/2,-z'
'x+1/2,-y+1/2,z'
loop_
_atom_site_label
_atom_site_type_symbol
_atom_site_fract_x
_atom_site_fract_y
_atom_site_fract_z
La1 La 0.0678 0.0000 0.3121
Si1 Si 0.1710 0.5000 0.7230
B1 B 0.0000 0.5000 0.0000
Ir1 Ir 0.2027 0.5000 0.0865
```